Computed powder diffractogram of MgZr2Ag for CuKα, from the PBE geometry in Alexandria.

Most intense lines, 2θ from 10° to 80°, low angle first:
(0 0 2), 2θ 34.3, rel. 30
(1 1 1), 2θ 36.8, rel. 100
(0 2 0), 2θ 39.1, rel. 21
(2 0 0), 2θ 53.0, rel. 25
(1 1 3), 2θ 63.0, rel. 19
(1 3 1), 2θ 69.4, rel. 14

Structure:
```
4
Lattice="3.460 0.000 0.000 0.000 4.604 0.000 0.000 0.000 5.229" Properties=species:S:1:pos:R:3 pbc="T T T"
Mg 0.000 0.000 0.000
Zr 0.000 2.302 2.614
Zr 1.730 0.000 2.614
Ag 1.730 2.302 0.000
```